# 1
The following is a theoretical PXRD pattern of MgIn4Hg. It was derived from a PBE-relaxed structure, using copper Kα.
Lines closer than 0.1° are merged.

Peak list (10 most intense, 2θ = 15–90°, low angle first)
two_theta, Rel. int., h k l
30.01, 13.3, 1 0 2
33.19, 100.0, 1 0 3
37.73, 16.4, 0 0 6
38.89, 33.2, 1 1 0
55.30, 21.2, 1 1 6
56.17, 11.1, 2 0 0
65.25, 11.3, 1 0 9
66.82, 25.6, 2 1 3
69.66, 10.5, 2 0 6
85.72, 6.6, 1 1 11

Structure:
```
data_MgIn4Hg
_chemical_formula_sum 'Mg1 In4 Hg1'
_symmetry_space_group_name_H-M 'P 4/m m m'
_symmetry_Int_Tables_number 123
_symmetry_space_group_name_Hall '-P 4 2'
_cell_length_a 3.2751
_cell_length_b 3.2751
_cell_length_c 14.3039
_cell_angle_alpha 90.00
_cell_angle_beta 90.00
_cell_angle_gamma 90.00
loop_
_atom_site_label
_atom_site_type_symbol
_atom_site_fract_x
_atom_site_fract_y
_atom_site_fract_z
Mg1 Mg 0.0000 0.0000 0.0000
In1 In 0.0000 0.0000 0.3300
In2 In 0.5000 0.5000 0.1528
Hg1 Hg 0.5000 0.5000 0.5000
```

***

# 2
The following is a theoretical PXRD pattern of Mg2In2Hg7. It was derived from a PBE-relaxed structure, using copper Kα.
Lines closer than 0.1° are merged.

Peak list (10 most intense, 2θ = 15–90°, low angle first)
two_theta, Rel. int., h k l
26.87, 40.2, 5 1 0
27.74, 22.3, 1 1 1
29.83, 38.3, 6 0 0
31.68, 32.8, 3 1 1
32.53, 22.4, 0 2 1
32.98, 39.1, 4 0 1
33.59, 98.9, 2 2 -1
34.62, 100.0, 3 3 0
35.83, 47.1, 5 1 -1
36.53, 35.6, 6 2 0

Structure:
```
data_Mg2In2Hg7
_chemical_formula_sum 'Mg4 In4 Hg14'
_symmetry_space_group_name_H-M 'C 1 2/m 1'
_symmetry_Int_Tables_number 12
_cell_length_a 18.0077
_cell_length_b 8.6209
_cell_length_c 3.5837
_cell_angle_alpha 90.00
_cell_angle_beta 93.61
_cell_angle_gamma 90.00
loop_
_symmetry_equiv_pos_as_xyz
'x,y,z'
'-x,-y,-z'
'-x,y,-z'
'x,-y,z'
'x+1/2,y+1/2,z'
'-x+1/2,-y+1/2,-z'
'-x+1/2,y+1/2,-z'
'x+1/2,-y+1/2,z'
loop_
_atom_site_label
_atom_site_type_symbol
_atom_site_fract_x
_atom_site_fract_y
_atom_site_fract_z
Mg1 Mg 0.2418 0.0000 0.1881
In1 In 0.0000 0.2085 0.0000
Hg1 Hg 0.0000 0.5000 0.5000
Hg2 Hg 0.1108 0.0000 0.6322
Hg3 Hg 0.1620 0.3133 0.2693
```